Diffraction record for CdP6Pb9O26. The powder X-ray diffraction pattern is computed, not measured: it uses a crystal structure in the Materials Project, relaxed with GGA-PBE and Cu Kα (weighted mean of Kα1 and Kα2).
Lines closer than 0.1° are merged.

Peak list (12 most intense, 10 to 80 degrees two-theta, by intensity)
2θ 30.05, I 100; 2θ 26.18, I 37; 2θ 27.47, I 35; 2θ 30.12, I 30; 2θ 21.56, I 24; 2θ 31.24, I 22; 2θ 20.68, I 22; 2θ 49.13, I 17; 2θ 48.99, I 17; 2θ 46.14, I 16; 2θ 43.90, I 16; 2θ 48.55, I 15

Lattice parameters (Å, degrees): 7.4143 9.9098 9.9138 60.12 89.89 89.82
Positions (direct):
1 Cd 0.0000 0.0000 0.0000
2 P 0.2356 0.2908 0.6437
3 P 0.2362 0.6468 0.0681
4 P 0.2372 0.0692 0.2870
5 P 0.7524 0.7009 0.2623
6 P 0.7526 0.0415 0.6980
7 P 0.7528 0.2628 0.0367
8 Pb 0.2255 0.6607 0.4359
9 Pb 0.2304 0.4370 0.9018
10 Pb 0.2336 0.9038 0.6624
11 Pb 0.4904 0.9989 0.0027
12 Pb 0.4928 0.3323 0.3326
13 Pb 0.7323 0.4273 0.6757
14 Pb 0.7358 0.8978 0.4330
15 Pb 0.7369 0.6709 0.9006
16 Pb 0.9874 0.3317 0.3343
17 O 0.0705 0.4056 0.5802
18 O 0.0729 0.5845 0.0157
19 O 0.0738 0.0197 0.4017
20 O 0.1818 0.6625 0.6584
21 O 0.2226 0.1790 0.8221
22 O 0.2244 0.0009 0.1760
23 O 0.2235 0.8250 0.0024
24 O 0.2400 0.5571 0.2511
25 O 0.2410 0.2517 0.1925
26 O 0.2418 0.1999 0.5528
27 O 0.4074 0.3962 0.5996
28 O 0.4091 0.6017 0.0094
29 O 0.4109 0.0124 0.3891
30 O 0.5770 0.3014 0.9360
31 O 0.5774 0.7639 0.3010
32 O 0.5783 0.9407 0.7594
33 O 0.6823 0.6539 0.6670
34 O 0.7391 0.3220 0.1544
35 O 0.7388 0.5239 0.3222
36 O 0.7398 0.1603 0.5216
37 O 0.7809 0.1295 0.7916
38 O 0.7823 0.7946 0.0820
39 O 0.7852 0.0836 0.1210
40 O 0.9087 0.3489 0.9172
41 O 0.9108 0.7355 0.3445
42 O 0.9118 0.9250 0.7340